HoGaS3: computed powder XRD pattern (copper Kα), based on the GGA-PBE geometry in Alexandria.

Largest 10 diffraction maxima, sorted by position, 10 to 90 degrees two-theta:
index  2θ/deg  Rel. int.
0 4 0  15.9  58
0 3 1  18.3  51
0 5 1  24.3  52
1 1 1  27.3  100
0 0 2  28.0  29
1 5 1  33.7  41
0 6 2  37.2  26
0 9 1  39.0  20
1 4 2  40.1  41
2 0 0  47.0  63

Crystal structure
Lattice parameters (Å, degrees): 3.8701 22.3237 6.3718 90.00 90.00 90.00
Space group Ama2 (No. 40)
Inequivalent atoms, fractional coordinates:
Ho1 0.2500 0.1754 0.0000 x4
Ga1 0.2500 0.3748 0.9323 x4
S1 0.2500 0.0821 0.2875 x4
S2 0.2500 0.2800 0.7669 x4
S3 0.2500 0.3787 0.2855 x4